Structure and computed XRD peak list of TlSb2Au4 (a cell relaxed with PBE; Cu Kα X-rays).

Peak list (6 most intense, 2θ = 10–90°, by intensity)
2θ 31.2, d 2.867, rel. 100
2θ 36.4, d 2.471, rel. 79
2θ 28.9, d 3.090, rel. 63
2θ 39.3, d 2.293, rel. 59
2θ 39.9, d 2.260, rel. 59
2θ 34.9, d 2.568, rel. 56

Structural model:
a b c (Å): 5.378 17.892 7.717
angles (deg): 90.00 116.99 90.00
Space group P2_1/c (No. 14)
Unique sites:
Tl  0.212  0.129  0.029 x4
Sb  0.381  0.708  0.020 x4
Sb  0.455  0.546  0.754 x4
Au  0.036  0.704  0.219 x4
Au  0.158  0.561  0.971 x4
Au  0.182  0.548  0.347 x4
Au  0.286  0.183  0.690 x4

---

Structure and computed XRD peak list of TlSb4Au (a cell relaxed with PBE; Cu Kα X-rays).

Peak list (6 most intense, 2θ = 10–90°, by intensity)
2θ 33.4, d 2.684, rel. 100
2θ 28.4, d 3.147, rel. 45
2θ 53.5, d 1.713, rel. 36
2θ 58.7, d 1.573, rel. 28
2θ 34.9, d 2.569, rel. 25
2θ 83.4, d 1.159, rel. 22

Structural model:
a b c (Å): 8.901 8.901 8.901
angles (deg): 90.00 90.00 90.00
Space group F-43m (No. 216)
Unique sites:
Tl  0.000  0.000  0.000 x4
Sb  0.120  0.120  0.380 x16
Au  0.250  0.250  0.750 x4